Computed PXRD pattern of LiNpCrO5 for Cu Kα, from the GGA+U geometry in Alexandria.

Most intense lines, 10 to 90 degrees two-theta, by angle:
two_theta  d (Å)  I (rel.)
17.7  4.999  100
17.9  4.954  87
25.7  3.470  93
30.7  2.910  33
31.1  2.877  30
31.4  2.852  25
35.3  2.543  23
36.3  2.477  54
43.9  2.064  17
44.2  2.049  19
46.0  1.971  19
48.3  1.886  23

Crystal structure
```
data_LiNpCrO5
_chemical_formula_sum 'Li2 Np2 Cr2 O10'
_space_group_name_H-M_alt 'P 1'
_space_group_IT_number 1
_space_group_name_Hall 'P 1'
_cell_length_a 5.8630
_cell_length_b 5.8630
_cell_length_c 7.6880
_cell_angle_alpha 101.01
_cell_angle_beta 101.01
_cell_angle_gamma 117.00
loop_
_atom_site_label
_atom_site_type_symbol
_atom_site_fract_x
_atom_site_fract_y
_atom_site_fract_z
_atom_site_occupancy
Li1 Li 0.2134 0.7866 0.7500 1
Li2 Li 0.7866 0.2134 0.2500 1
Np1 Np 0.5000 0.5000 0.0000 1
Np2 Np 0.5000 0.5000 0.5000 1
Cr1 Cr 0.0799 0.9201 0.2500 1
Cr2 Cr 0.9201 0.0799 0.7500 1
O1 O 0.0966 0.2254 0.4254 1
O2 O 0.1508 0.4632 0.8339 1
O3 O 0.2254 0.0966 0.9254 1
O4 O 0.4141 0.5859 0.2500 1
O5 O 0.4632 0.1508 0.3339 1
O6 O 0.5368 0.8492 0.6661 1
O7 O 0.5859 0.4141 0.7500 1
O8 O 0.7746 0.9034 0.0746 1
O9 O 0.8492 0.5368 0.1661 1
O10 O 0.9034 0.7746 0.5746 1
```